BaSn4Au12: theoretical powder XRD pattern (Cu Ka), based on a structure optimized by DFT (GGA-PBE).
No peak broadening, texture or thermal motion is included.

a b c (Å): 8.2188 8.2188 8.2188
angles (deg): 109.47 109.47 109.47
Fractional positions:
Ba  0.0000  0.0000  0.0000
Sn  0.0000  0.0000  0.5000
Sn  0.0000  0.5000  0.0000
Sn  0.5000  0.0000  0.0000
Sn  0.5000  0.5000  0.5000
Au  0.1467  0.4992  0.3525
Au  0.1467  0.7942  0.6475
Au  0.2058  0.3525  0.8533
Au  0.3525  0.1467  0.4992
Au  0.3525  0.8533  0.2058
Au  0.4992  0.3525  0.1467
Au  0.5008  0.6475  0.8533
Au  0.6475  0.1467  0.7942
Au  0.6475  0.8533  0.5008
Au  0.7942  0.6475  0.1467
Au  0.8533  0.2058  0.3525
Au  0.8533  0.5008  0.6475

Most intense lines, 2θ from 10° to 80°, low angle first:
2θ 29.77, I = 100.0
2θ 35.39, I = 31.5
2θ 42.60, I = 24.1
2θ 46.90, I = 17.7
2θ 48.94, I = 44.9
2θ 58.34, I = 8.3
2θ 66.86, I = 12.9
2θ 68.50, I = 9.7
2θ 76.44, I = 12.0
2θ 79.53, I = 7.9



Ba3HoTc2O9: theoretical powder XRD pattern (Cu Ka), based on a structure optimized by DFT (GGA-PBE).
No peak broadening, texture or thermal motion is included.

a b c (Å): 5.8700 5.8700 7.1924
angles (deg): 90.00 90.00 120.00
Fractional positions:
Ba  0.0000  0.0000  0.0000
Ba  0.3333  0.6667  0.6629
Ba  0.6667  0.3333  0.3371
Ho  0.0000  0.0000  0.5000
Tc  0.3333  0.6667  0.1515
Tc  0.6667  0.3333  0.8485
O  0.0000  0.5000  0.0000
O  0.1763  0.3526  0.3175
O  0.1763  0.8237  0.3175
O  0.3526  0.1763  0.6825
O  0.5000  0.0000  0.0000
O  0.5000  0.5000  0.0000
O  0.6474  0.8237  0.3175
O  0.8237  0.1763  0.6825
O  0.8237  0.6474  0.6825

Most intense lines, 2θ from 10° to 80°, low angle first:
2θ 17.45, I = 1.0
2θ 21.40, I = 1.1
2θ 30.45, I = 100.0
2θ 37.53, I = 2.8
2θ 39.64, I = 1.2
2θ 43.61, I = 29.5
2θ 54.11, I = 39.9
2θ 63.37, I = 18.2
2θ 71.92, I = 17.7
2θ 76.04, I = 0.6



Li3Al6Ag2: theoretical powder XRD pattern (Cu Ka), based on a structure optimized by DFT (GGA-PBE).
No peak broadening, texture or thermal motion is included.

a b c (Å): 4.5087 6.8846 7.0729
angles (deg): 100.44 108.58 109.05
Fractional positions:
Li  0.0000  0.0000  0.0000
Li  0.3359  0.2483  0.4238
Li  0.6641  0.7517  0.5762
Al  0.0585  0.7789  0.3366
Al  0.2211  0.6605  0.7812
Al  0.3320  0.5245  0.1394
Al  0.6680  0.4755  0.8606
Al  0.7789  0.3395  0.2188
Al  0.9415  0.2211  0.6634
Ag  0.3996  0.0443  0.7565
Ag  0.6004  0.9557  0.2435

Most intense lines, 2θ from 10° to 80°, low angle first:
2θ 14.36, I = 76.2
2θ 21.38, I = 82.9
2θ 22.85, I = 55.1
2θ 28.09, I = 100.0
2θ 31.95, I = 29.7
2θ 39.29, I = 55.8
2θ 39.99, I = 46.3
2θ 41.19, I = 77.8
2θ 44.37, I = 50.5
2θ 49.58, I = 26.6